Entry 1:
BeAlSn: calculated powder diffractogram (CuKα), based on a DFT-relaxed cell (PBE, Alexandria).
Neutral-atom scattering factors, no anomalous dispersion.

Atomic structure:
Unit cell a=3.983 b=4.457 c=6.278 alpha=90.00 beta=101.63 gamma=90.00
Positions (direct):
Be (0.000, 0.000, 0.000)
Be (0.000, 0.500, 0.000)
Al (0.455, 0.250, 0.861)
Al (0.545, 0.750, 0.139)
Sn (0.203, 0.250, 0.394)
Sn (0.797, 0.750, 0.606)

Peak list (10 most intense, 10 to 80 degrees two-theta, by angle)
14.40°, I 88; 24.67°, I 32; 29.48°, I 39; 30.45°, I 100; 31.72°, I 97; 33.27°, I 27; 35.47°, I 92; 40.47°, I 31; 40.87°, I 29; 45.88°, I 26

Entry 2:
InHAu: calculated powder diffractogram (CuKα), based on a DFT-relaxed cell (PBE, Alexandria).
Neutral-atom scattering factors, no anomalous dispersion.

Atomic structure:
Unit cell a=3.987 b=3.987 c=8.948 alpha=102.50 beta=102.50 gamma=90.07
Positions (direct):
In (0.173, 0.173, 0.345)
In (0.827, 0.827, 0.655)
H (0.478, 0.478, 0.954)
H (0.522, 0.522, 0.046)
Au (0.343, 0.343, 0.686)
Au (0.657, 0.657, 0.314)

Peak list (10 most intense, 10 to 80 degrees two-theta, by angle)
10.38°, I 100; 20.86°, I 34; 31.51°, I 35; 31.74°, I 77; 33.45°, I 20; 38.27°, I 15; 45.32°, I 26; 45.52°, I 41; 56.21°, I 14; 56.58°, I 13

Entry 3:
PmPu5Te8: calculated powder diffractogram (CuKα), based on a DFT-relaxed cell (PBE, Alexandria).
Neutral-atom scattering factors, no anomalous dispersion.

Atomic structure:
Unit cell a=8.126 b=8.147 c=8.151 alpha=109.47 beta=109.40 gamma=109.34
Positions (direct):
Pm (0.000, 0.000, 0.000)
Pu (0.249, 0.124, 0.625)
Pu (0.376, 0.623, 0.499)
Pu (0.502, 0.876, 0.126)
Pu (0.750, 0.500, 0.250)
Pu (0.876, 0.375, 0.752)
Te (0.126, 0.748, 0.724)
Te (0.126, 0.749, 0.225)
Te (0.278, 0.401, 0.026)
Te (0.475, 0.250, 0.376)
Te (0.624, 0.599, 0.876)
Te (0.625, 0.098, 0.876)
Te (0.776, 0.899, 0.525)
Te (0.975, 0.252, 0.377)

Peak list (10 most intense, 10 to 80 degrees two-theta, by angle)
23.14°, I 19; 30.03°, I 100; 35.66°, I 37; 35.76°, I 32; 42.96°, I 17; 43.06°, I 8; 49.31°, I 8; 60.66°, I 17; 60.76°, I 7; 73.98°, I 8

Entry 4:
CdInIr: calculated powder diffractogram (CuKα), based on a DFT-relaxed cell (PBE, Alexandria).
Neutral-atom scattering factors, no anomalous dispersion.

Atomic structure:
Unit cell a=4.669 b=4.669 c=6.006 alpha=90.00 beta=90.00 gamma=90.00
Positions (direct):
Cd (0.000, 0.500, 0.000)
Cd (0.500, 0.000, 0.500)
In (0.000, 0.500, 0.500)
In (0.500, 0.000, 0.000)
Ir (0.000, 0.000, 0.250)
Ir (0.000, 0.000, 0.750)

Peak list (10 most intense, 10 to 80 degrees two-theta, by angle)
19.01°, I 69; 35.55°, I 29; 38.57°, I 58; 40.61°, I 100; 43.34°, I 17; 53.45°, I 18; 55.69°, I 20; 61.79°, I 7; 71.17°, I 37; 75.25°, I 16

Entry 5:
K3Hg2Cl7: calculated powder diffractogram (CuKα), based on a DFT-relaxed cell (PBE, Alexandria).
Neutral-atom scattering factors, no anomalous dispersion.

Atomic structure:
Unit cell a=13.433 b=13.433 c=13.433 alpha=156.80 beta=156.80 gamma=33.04
Positions (direct):
K (0.000, 0.000, 0.000)
K (0.176, 0.176, 0.000)
K (0.824, 0.824, 0.000)
Hg (0.396, 0.396, 0.000)
Hg (0.604, 0.604, 0.000)
Cl (0.097, 0.597, 0.500)
Cl (0.296, 0.296, 0.000)
Cl (0.403, 0.903, 0.500)
Cl (0.500, 0.500, 0.000)
Cl (0.597, 0.097, 0.500)
Cl (0.704, 0.704, 0.000)
Cl (0.903, 0.403, 0.500)

Peak list (10 most intense, 10 to 80 degrees two-theta, by angle)
13.75°, I 63; 16.77°, I 100; 23.29°, I 64; 23.87°, I 76; 33.17°, I 67; 35.50°, I 41; 37.39°, I 29; 41.28°, I 38; 48.86°, I 33; 49.37°, I 32

Entry 6:
Pu6PdRu3: calculated powder diffractogram (CuKα), based on a DFT-relaxed cell (PBE, Alexandria).
Neutral-atom scattering factors, no anomalous dispersion.

Atomic structure:
Unit cell a=6.015 b=6.015 c=6.015 alpha=85.23 beta=85.23 gamma=85.23
Positions (direct):
Pu (0.000, 0.352, 0.648)
Pu (0.160, 0.840, 0.500)
Pu (0.352, 0.648, 0.000)
Pu (0.500, 0.160, 0.840)
Pu (0.648, 0.000, 0.352)
Pu (0.840, 0.500, 0.160)
Pd (0.000, 0.000, 0.000)
Ru (0.250, 0.250, 0.250)
Ru (0.500, 0.500, 0.500)
Ru (0.750, 0.750, 0.750)

Peak list (10 most intense, 10 to 80 degrees two-theta, by angle)
21.83°, I 6; 32.46°, I 100; 38.28°, I 71; 41.05°, I 6; 48.55°, I 8; 51.04°, I 28; 53.82°, I 8; 63.45°, I 20; 65.56°, I 25; 69.21°, I 12

Entry 7:
UBr6: calculated powder diffractogram (CuKα), based on a DFT-relaxed cell (PBE, Alexandria).
Neutral-atom scattering factors, no anomalous dispersion.

Atomic structure:
Unit cell a=13.819 b=12.411 c=7.178 alpha=90.00 beta=90.00 gamma=90.00
Positions (direct):
U (0.130, 0.250, 0.096)
U (0.370, 0.750, 0.596)
U (0.630, 0.250, 0.404)
U (0.870, 0.750, 0.904)
Br (0.008, 0.250, 0.813)
Br (0.026, 0.100, 0.262)
Br (0.026, 0.400, 0.262)
Br (0.234, 0.100, 0.931)
Br (0.234, 0.400, 0.931)
Br (0.249, 0.750, 0.879)
Br (0.251, 0.250, 0.379)
Br (0.266, 0.600, 0.431)
Br (0.266, 0.900, 0.431)
Br (0.474, 0.600, 0.762)
Br (0.474, 0.900, 0.762)
Br (0.492, 0.750, 0.313)
Br (0.508, 0.250, 0.687)
Br (0.526, 0.100, 0.238)
Br (0.526, 0.400, 0.238)
Br (0.734, 0.100, 0.569)
Br (0.734, 0.400, 0.569)
Br (0.749, 0.750, 0.621)
Br (0.751, 0.250, 0.121)
Br (0.766, 0.600, 0.069)
Br (0.766, 0.900, 0.069)
Br (0.974, 0.600, 0.738)
Br (0.974, 0.900, 0.738)
Br (0.992, 0.750, 0.187)

Peak list (10 most intense, 10 to 80 degrees two-theta, by angle)
13.90°, I 37; 14.27°, I 92; 14.67°, I 100; 15.64°, I 58; 19.98°, I 31; 22.92°, I 23; 28.04°, I 99; 31.62°, I 63; 41.24°, I 35; 43.73°, I 55

Entry 8:
Ac3SnPd7: calculated powder diffractogram (CuKα), based on a DFT-relaxed cell (PBE, Alexandria).
Neutral-atom scattering factors, no anomalous dispersion.

Atomic structure:
Unit cell a=10.713 b=10.713 c=11.477 alpha=90.00 beta=90.00 gamma=156.70
Positions (direct):
Ac (0.107, 0.893, 0.558)
Ac (0.107, 0.893, 0.942)
Ac (0.216, 0.784, 0.250)
Ac (0.784, 0.216, 0.750)
Ac (0.893, 0.107, 0.058)
Ac (0.893, 0.107, 0.442)
Sn (0.044, 0.956, 0.250)
Sn (0.956, 0.044, 0.750)
Pd (0.285, 0.715, 0.025)
Pd (0.285, 0.715, 0.475)
Pd (0.369, 0.631, 0.250)
Pd (0.380, 0.620, 0.633)
Pd (0.380, 0.620, 0.867)
Pd (0.490, 0.510, 0.125)
Pd (0.490, 0.510, 0.375)
Pd (0.510, 0.490, 0.625)
Pd (0.510, 0.490, 0.875)
Pd (0.620, 0.380, 0.133)
Pd (0.620, 0.380, 0.367)
Pd (0.631, 0.369, 0.750)
Pd (0.715, 0.285, 0.525)
Pd (0.715, 0.285, 0.975)

Peak list (10 most intense, 10 to 80 degrees two-theta, by angle)
24.77°, I 22; 25.42°, I 29; 30.68°, I 21; 31.50°, I 56; 33.60°, I 100; 33.80°, I 35; 37.87°, I 24; 39.82°, I 36; 41.75°, I 60; 47.37°, I 23

Entry 9:
Cs3NdBi2O8: calculated powder diffractogram (CuKα), based on a DFT-relaxed cell (PBE, Alexandria).
Neutral-atom scattering factors, no anomalous dispersion.

Atomic structure:
Unit cell a=6.583 b=6.583 c=8.571 alpha=90.00 beta=90.00 gamma=120.00
Positions (direct):
Cs (0.000, 0.000, 0.000)
Cs (0.333, 0.667, 0.688)
Cs (0.667, 0.333, 0.312)
Nd (0.000, 0.000, 0.500)
Bi (0.333, 0.667, 0.245)
Bi (0.667, 0.333, 0.755)
O (0.167, 0.334, 0.336)
O (0.167, 0.833, 0.336)
O (0.333, 0.667, 0.012)
O (0.334, 0.167, 0.664)
O (0.666, 0.833, 0.336)
O (0.667, 0.333, 0.988)
O (0.833, 0.167, 0.664)
O (0.833, 0.666, 0.664)

Peak list (10 most intense, 10 to 80 degrees two-theta, by angle)
18.69°, I 16; 26.01°, I 80; 27.09°, I 100; 37.91°, I 37; 47.21°, I 33; 47.87°, I 21; 50.84°, I 21; 55.86°, I 17; 62.62°, I 14; 76.58°, I 11